# 1
# Zn2P2H10O11
Calculated powder diffraction line list, a wavelength of 1.5418 Å. Input: DFT lattice parameters and positions (GGA-PBE).

Cell and atoms:
```
data_Zn2P2H10O11
_cell_length_a 7.570
_cell_length_b 7.752
_cell_length_c 9.522
_cell_angle_alpha 90.02
_cell_angle_beta 91.74
_cell_angle_gamma 90.61
_symmetry_space_group_name_H-M 'P -1'
_symmetry_Int_Tables_number 2
_symmetry_space_group_name_Hall '-P 1'
loop_
_atom_site_label
_atom_site_fract_x
_atom_site_fract_y
_atom_site_fract_z
Zn1 0.000 0.000 0.000
Zn2 0.002 0.500 0.755
Zn3 0.500 0.500 0.500
P1 0.125 0.718 0.515
P2 0.231 0.377 0.018
H1 0.034 0.113 0.730
H2 0.037 0.908 0.741
H3 0.202 0.885 0.525
H4 0.229 0.752 0.059
H5 0.246 0.269 0.397
H6 0.327 0.912 0.126
H7 0.394 0.596 0.232
H8 0.395 0.385 0.758
H9 0.403 0.312 0.035
H10 0.426 0.163 0.403
O1 0.015 0.288 0.367
O2 0.039 0.710 0.366
O3 0.079 0.016 0.788
O4 0.093 0.242 0.053
O5 0.216 0.529 0.125
O6 0.221 0.443 0.864
O7 0.250 0.876 0.045
O8 0.262 0.581 0.546
O9 0.377 0.279 0.395
O10 0.456 0.931 0.289
O11 0.495 0.636 0.295
```

Largest 8 diffraction maxima, by angle, 2θ from 15° to 90°:
- (0 2 0), 2θ 22.95, rel. 43
- (2 0 0), 2θ 23.52, rel. 52
- (1 1 -2), 2θ 24.69, rel. 48
- (1 -1 2), 2θ 25.10, rel. 77
- (1 1 2), 2θ 25.24, rel. 50
- (-2 1 1), 2θ 27.50, rel. 100
- (1 2 1), 2θ 27.74, rel. 83
- (2 -1 1), 2θ 28.00, rel. 62

# 2
# Zn3P2H4O8
Calculated powder diffraction line list, a wavelength of 1.5418 Å. Input: DFT lattice parameters and positions (GGA-PBE).

Cell and atoms:
```
data_Zn3P2H4O8
_cell_length_a 5.525
_cell_length_b 5.750
_cell_length_c 7.389
_cell_angle_alpha 70.75
_cell_angle_beta 78.26
_cell_angle_gamma 87.65
_symmetry_space_group_name_H-M 'P 1'
_symmetry_Int_Tables_number 1
_symmetry_space_group_name_Hall 'P 1'
loop_
_atom_site_label
_atom_site_fract_x
_atom_site_fract_y
_atom_site_fract_z
Zn1 0.000 0.000 0.000
Zn2 0.271 0.174 0.220
Zn3 0.541 0.129 0.488
P1 0.563 0.747 0.916
P2 0.967 0.397 0.567
H1 0.003 0.143 0.169
H2 0.523 0.039 0.295
H3 0.629 0.378 0.900
H4 0.912 0.757 0.586
O1 0.053 0.674 0.522
O2 0.193 0.269 0.481
O3 0.335 0.872 0.991
O4 0.484 0.457 0.965
O5 0.645 0.849 0.690
O6 0.750 0.399 0.467
O7 0.776 0.740 0.020
O8 0.889 0.278 0.793
```

Largest 8 diffraction maxima, by angle, 2θ from 15° to 90°:
- (0 1 0), 2θ 16.33, rel. 57
- (1 1 1), 2θ 22.29, rel. 30
- (1 0 -1), 2θ 22.93, rel. 34
- (0 1 -1), 2θ 24.06, rel. 53
- (-1 1 1), 2θ 25.32, rel. 100
- (0 0 2), 2θ 26.08, rel. 33
- (1 1 -1), 2θ 30.99, rel. 20
- (3 -1 1), 2θ 53.65, rel. 18

# 3
# ZnP2H4O4
Calculated powder diffraction line list, a wavelength of 1.5418 Å. Input: DFT lattice parameters and positions (GGA-PBE).

Cell and atoms:
```
data_ZnP2H4O4
_cell_length_a 6.597
_cell_length_b 5.439
_cell_length_c 7.606
_cell_angle_alpha 90.00
_cell_angle_beta 90.00
_cell_angle_gamma 90.00
_symmetry_space_group_name_H-M 'P m m a'
_symmetry_Int_Tables_number 51
_symmetry_space_group_name_Hall '-P 2a 2a'
loop_
_atom_site_label
_atom_site_fract_x
_atom_site_fract_y
_atom_site_fract_z
Zn1 0.000 0.000 0.000
P1 0.250 0.000 0.364
P2 0.250 0.500 0.858
H1 0.079 0.500 0.746
H2 0.250 0.205 0.480
O1 0.050 0.000 0.263
O2 0.250 0.261 0.965
```

Largest 8 diffraction maxima, by angle, 2θ from 15° to 90°:
- (0 1 0), 2θ 16.30, rel. 100
- (1 1 1), 2θ 24.22, rel. 59
- (1 0 2), 2θ 27.06, rel. 36
- (2 1 0), 2θ 31.72, rel. 36
- (0 2 0), 2θ 32.93, rel. 30
- (2 1 1), 2θ 33.90, rel. 78
- (0 1 3), 2θ 39.20, rel. 34
- (2 2 4), 2θ 66.33, rel. 27

# 4
# ZnP2H6O5
Calculated powder diffraction line list, a wavelength of 1.5418 Å. Input: DFT lattice parameters and positions (GGA-PBE).

Cell and atoms:
```
data_ZnP2H6O5
_cell_length_a 7.653
_cell_length_b 7.782
_cell_length_c 10.491
_cell_angle_alpha 90.00
_cell_angle_beta 105.20
_cell_angle_gamma 90.00
_symmetry_space_group_name_H-M 'P 1 21/c 1'
_symmetry_Int_Tables_number 14
_symmetry_space_group_name_Hall '-P 2ybc'
loop_
_atom_site_label
_atom_site_fract_x
_atom_site_fract_y
_atom_site_fract_z
Zn1 0.200 0.041 0.103
P1 0.036 0.203 0.339
P2 0.466 0.129 0.688
H1 0.128 0.616 0.166
H2 0.173 0.096 0.414
H3 0.174 0.695 0.422
H4 0.359 0.505 0.115
H5 0.387 0.664 0.458
H6 0.403 0.144 0.803
O1 0.036 0.129 0.917
O2 0.058 0.219 0.198
O3 0.280 0.662 0.494
O4 0.336 0.578 0.778
O5 0.421 0.204 0.107
```

Largest 8 diffraction maxima, by angle, 2θ from 15° to 90°:
- (1 1 -1), 2θ 17.19, rel. 100
- (1 0 -2), 2θ 18.47, rel. 42
- (1 1 2), 2θ 26.43, rel. 28
- (1 2 1), 2θ 28.39, rel. 23
- (1 2 -2), 2θ 29.54, rel. 35
- (2 1 1), 2θ 30.13, rel. 22
- (2 1 -3), 2θ 32.96, rel. 24
- (2 2 0), 2θ 33.46, rel. 28

Copy entry 2 word for word.
# Zn3P2H4O8
Calculated powder diffraction line list, a wavelength of 1.5418 Å. Input: DFT lattice parameters and positions (GGA-PBE).

Cell and atoms:
```
data_Zn3P2H4O8
_cell_length_a 5.525
_cell_length_b 5.750
_cell_length_c 7.389
_cell_angle_alpha 70.75
_cell_angle_beta 78.26
_cell_angle_gamma 87.65
_symmetry_space_group_name_H-M 'P 1'
_symmetry_Int_Tables_number 1
_symmetry_space_group_name_Hall 'P 1'
loop_
_atom_site_label
_atom_site_fract_x
_atom_site_fract_y
_atom_site_fract_z
Zn1 0.000 0.000 0.000
Zn2 0.271 0.174 0.220
Zn3 0.541 0.129 0.488
P1 0.563 0.747 0.916
P2 0.967 0.397 0.567
H1 0.003 0.143 0.169
H2 0.523 0.039 0.295
H3 0.629 0.378 0.900
H4 0.912 0.757 0.586
O1 0.053 0.674 0.522
O2 0.193 0.269 0.481
O3 0.335 0.872 0.991
O4 0.484 0.457 0.965
O5 0.645 0.849 0.690
O6 0.750 0.399 0.467
O7 0.776 0.740 0.020
O8 0.889 0.278 0.793
```

Largest 8 diffraction maxima, by angle, 2θ from 15° to 90°:
- (0 1 0), 2θ 16.33, rel. 57
- (1 1 1), 2θ 22.29, rel. 30
- (1 0 -1), 2θ 22.93, rel. 34
- (0 1 -1), 2θ 24.06, rel. 53
- (-1 1 1), 2θ 25.32, rel. 100
- (0 0 2), 2θ 26.08, rel. 33
- (1 1 -1), 2θ 30.99, rel. 20
- (3 -1 1), 2θ 53.65, rel. 18